# 1
For Pr9C2I14, a cell relaxed with GGA-PBE gives the computed X-ray powder pattern in this record (a wavelength of 1.5418 Å).
No peak broadening, texture or thermal motion is included.

Crystal structure
abc: 9.3223 9.3223 12.3259
angles: 90.00 90.00 120.00
Space group P-3 (No. 147)
Symmetry-distinct sites (fractional):
Pr  0.0000  0.0000  0.0000 (multiplicity 1)
Pr  0.1189  0.4024  0.3321 (multiplicity 6)
Pr  0.3333  0.6667  0.0777 (multiplicity 2)
C  0.3333  0.6667  0.2805 (multiplicity 2)
I  0.0000  0.0000  0.2711 (multiplicity 2)
I  0.0452  0.6776  0.9059 (multiplicity 6)
I  0.0913  0.4099  0.6040 (multiplicity 6)

Largest 12 diffraction maxima, by angle, 5° ≤ 2θ ≤ 70°:
d [Å]  intensity
4.360  59
4.109  39
3.718  48
3.082  22
3.051  73
2.962  100
2.879  63
2.691  64
2.571  82
2.450  90
1.811  29
1.688  34



# 2
For SrZn6Pd4, a cell relaxed with GGA-PBE gives the computed X-ray powder pattern in this record (a wavelength of 1.5418 Å).
No peak broadening, texture or thermal motion is included.

Crystal structure
abc: 7.2475 7.2475 4.2495
angles: 90.00 90.00 120.00
Space group P-6m2 (No. 187)
Symmetry-distinct sites (fractional):
Sr  0.0000  0.0000  0.0000 (multiplicity 1)
Zn  0.2063  0.4126  0.5000 (multiplicity 3)
Zn  0.5382  0.0764  0.0000 (multiplicity 3)
Pd  0.3333  0.6667  0.0000 (multiplicity 1)
Pd  0.4062  0.2031  0.5000 (multiplicity 3)

Largest 12 diffraction maxima, by angle, 5° ≤ 2θ ≤ 70°:
d [Å]  intensity
6.277  23
3.138  14
2.757  44
2.524  100
2.372  54
2.125  49
2.071  87
1.877  39
1.812  26
1.611  13
1.583  30
1.379  21



# 3
For CeSm3Sn2, a cell relaxed with GGA-PBE gives the computed X-ray powder pattern in this record (a wavelength of 1.5418 Å).
No peak broadening, texture or thermal motion is included.

Crystal structure
abc: 7.5367 14.7221 7.6069
angles: 90.00 90.00 90.00
Space group Ibam (No. 72)
Symmetry-distinct sites (fractional):
Ce  0.0000  0.0000  0.0000 (multiplicity 4)
Sm  0.0000  0.2124  0.2500 (multiplicity 8)
Sm  0.0000  0.5000  0.2500 (multiplicity 4)
Sn  0.1859  0.3575  0.0000 (multiplicity 8)

Largest 12 diffraction maxima, by angle, 5° ≤ 2θ ≤ 70°:
d [Å]  intensity
4.330  44
3.768  30
2.792  100
2.677  31
2.645  22
2.633  50
2.516  20
2.075  17
1.902  18
1.788  20
1.542  20
1.485  30



# 4
For RbBiPb, a cell relaxed with GGA-PBE gives the computed X-ray powder pattern in this record (a wavelength of 1.5418 Å).
No peak broadening, texture or thermal motion is included.

Crystal structure
abc: 5.3084 7.0899 7.5938
angles: 75.99 69.64 68.18
Space group P-1 (No. 2)
Symmetry-distinct sites (fractional):
Rb  0.0634  0.1907  0.1811 (multiplicity 2)
Bi  0.3405  0.6088  0.2104 (multiplicity 2)
Pb  0.3339  0.2588  0.5720 (multiplicity 2)

Largest 12 diffraction maxima, by angle, 5° ≤ 2θ ≤ 70°:
d [Å]  intensity
6.526  34
4.716  30
3.486  42
3.350  37
3.320  53
2.949  21
2.877  100
2.826  45
2.654  52
2.399  35
1.935  31
1.773  30



# 5
For Dy4PuTe5, a cell relaxed with GGA-PBE gives the computed X-ray powder pattern in this record (a wavelength of 1.5418 Å).
No peak broadening, texture or thermal motion is included.

Crystal structure
abc: 4.3709 4.3709 30.8447
angles: 90.00 90.00 90.00
Space group I4/mmm (No. 139)
Symmetry-distinct sites (fractional):
Dy  0.0000  0.0000  0.0991 (multiplicity 4)
Dy  0.0000  0.0000  0.2985 (multiplicity 4)
Pu  0.0000  0.0000  0.5000 (multiplicity 2)
Te  0.0000  0.0000  0.0000 (multiplicity 2)
Te  0.0000  0.0000  0.1990 (multiplicity 4)
Te  0.0000  0.0000  0.3984 (multiplicity 4)

Largest 12 diffraction maxima, by angle, 5° ≤ 2θ ≤ 70°:
d [Å]  intensity
15.422  2
3.566  5
3.089  100
2.697  1
2.184  76
1.863  3
1.783  27
1.545  9
1.542  4
1.417  1
1.382  24
1.380  12